Starting from the PBE geometry in OQMD, the powder diffraction line list of TbTlSe2O8 was calculated for Cu Kα.

Largest 10 diffraction maxima, most intense first, 5 to 70 degrees two-theta:
2theta  intensity  (hkl)
29.87  100  0 1 2
17.99  72  1 0 0
31.42  70  1 1 0
43.90  44  2 0 2
21.54  41  0 1 1
54.97  35  1 2 2
58.84  25  1 1 4
39.70  18  1 1 2
55.93  14  3 0 0
48.86  13  2 1 0

Structural model:
Cell: 5.6951 5.6951 7.5239 Å, 90.00 90.00 120.00°
Space group P-3m1 (No. 164)
Symmetry-distinct sites (fractional):
Tb1 0.0000 0.0000 0.0000 x1
Tl1 0.0000 0.0000 0.5000 x1
Se1 0.3333 0.6667 0.7335 x2
O1 0.1762 0.3525 0.8160 x6
O2 0.3333 0.6667 0.5161 x2



Starting from the PBE geometry in OQMD, the powder diffraction line list of Nd2Ni7 was calculated for Cu Kα.

Largest 10 diffraction maxima, most intense first, 5 to 70 degrees two-theta:
2theta  intensity  (hkl)
42.45  100  1 1 6
33.01  62  1 0 7
35.91  47  1 1 0
41.87  32  2 0 1
69.04  23  3 0 6
62.71  21  2 1 7
65.91  16  2 0 13
45.85  16  2 0 5
44.63  16  0 0 12
41.70  13  2 0 0

Structural model:
Cell: 5.0018 5.0018 24.3634 Å, 90.00 90.00 120.00°
Space group P6_3/mmc (No. 194)
Symmetry-distinct sites (fractional):
Nd1 0.3333 0.6667 0.0295 x4
Nd2 0.3333 0.6667 0.1741 x4
Ni1 0.0000 0.0000 0.0000 x2
Ni2 0.0000 0.0000 0.1684 x4
Ni3 0.1665 0.3329 0.5870 x12
Ni4 0.1668 0.3336 0.7500 x6
Ni5 0.3333 0.6667 0.6679 x4